(1)
Simulated PXRD pattern of CuS4BrN4 for CuKα, from the PBE geometry in the Materials Project.
Peak positions follow from Bragg's law for the DFT cell and can differ from measured ones.

Crystal structure
```
CuS4BrN4
1.0
9.3955 0.0000 0.0000
0.0000 12.3991 0.0000
-2.0822 0.0000 6.8658
Cu S Br N
4 16 4 16
Direct
0.0801 0.1679 0.3719 Cu
0.0801 0.3321 0.8719 Cu
0.9199 0.6679 0.1281 Cu
0.9199 0.8321 0.6281 Cu
0.1893 0.5749 0.9778 S
0.1893 0.9251 0.4778 S
0.2587 0.6069 0.3754 S
0.2587 0.8931 0.8754 S
0.3483 0.0767 0.7392 S
0.3483 0.4233 0.2392 S
0.4776 0.6170 0.1902 S
0.4776 0.8830 0.6902 S
0.5224 0.1170 0.3098 S
0.5224 0.3830 0.8098 S
0.6517 0.5767 0.7608 S
0.6517 0.9233 0.2608 S
0.7413 0.1069 0.1246 S
0.7413 0.3931 0.6246 S
0.8107 0.0749 0.5222 S
0.8107 0.4251 0.0222 S
0.1142 0.1618 0.0461 Br
0.1142 0.3382 0.5461 Br
0.8858 0.6618 0.4539 Br
0.8858 0.8382 0.9539 Br
0.1341 0.6221 0.1599 N
0.1341 0.8779 0.6599 N
0.2212 0.0544 0.5287 N
0.2212 0.4456 0.0287 N
0.4087 0.6648 0.3573 N
0.4087 0.8352 0.8573 N
0.4960 0.0127 0.7285 N
0.4960 0.4873 0.2285 N
0.5040 0.5127 0.7715 N
0.5040 0.9873 0.2715 N
0.5913 0.1648 0.1427 N
0.5913 0.3352 0.6427 N
0.7788 0.5544 0.9713 N
0.7788 0.9456 0.4713 N
0.8659 0.1221 0.3401 N
0.8659 0.3779 0.8401 N
```

Peak list (10 most intense, 10° ≤ 2θ ≤ 80°, by intensity)
d/Å	I_rel
4.601	100
4.226	79
2.939	67
5.104	59
3.100	49
3.112	47
2.913	38
4.138	35
7.279	32
2.171	31

=====

(2)
Simulated PXRD pattern of Rb2NdCuBr6 for CuKα, from the PBE geometry in the Materials Project.
Peak positions follow from Bragg's law for the DFT cell and can differ from measured ones.

Crystal structure
```
Rb2NdCuBr6
1.0
0.0000 5.5777 5.5777
5.5777 0.0000 5.5777
5.5777 5.5777 0.0000
Rb Nd Cu Br
2 1 1 6
Direct
0.2500 0.2500 0.2500 Rb
0.7500 0.7500 0.7500 Rb
0.0000 0.0000 0.0000 Nd
0.5000 0.5000 0.5000 Cu
0.2586 0.2586 0.7414 Br
0.2586 0.7414 0.2586 Br
0.2586 0.7414 0.7414 Br
0.7414 0.2586 0.2586 Br
0.7414 0.2586 0.7414 Br
0.7414 0.7414 0.2586 Br
```

Peak list (10 most intense, 10° ≤ 2θ ≤ 80°, by intensity)
d/Å	I_rel
2.789	100
1.972	71
3.220	52
3.944	32
5.578	31
1.247	30
1.610	24
1.682	21
2.494	16
2.277	14

=====

(3)
Simulated PXRD pattern of CuBrO2 for CuKα, from the PBE geometry in the Materials Project.
Peak positions follow from Bragg's law for the DFT cell and can differ from measured ones.

Crystal structure
```
CuBrO2
1.0
3.5702 -5.5759 0.0000
3.5702 5.5759 0.0000
0.0000 0.0000 3.8568
Cu Br O
2 2 4
Direct
0.2351 0.2351 0.0000 Cu
0.7649 0.7649 0.5000 Cu
0.1328 0.8672 0.7500 Br
0.8672 0.1328 0.2500 Br
0.3227 0.4965 0.2831 O
0.4965 0.3227 0.7169 O
0.5035 0.6773 0.2169 O
0.6773 0.5035 0.7831 O
```

Peak list (10 most intense, 10° ≤ 2θ ≤ 80°, by intensity)
d/Å	I_rel
3.246	100
3.172	92
5.576	88
2.197	63
2.371	58
6.013	43
2.506	40
1.864	36
1.993	35
3.007	31

=====

Question: Which formula does entry 2 have?
Answer: Rb2NdCuBr6